Record 1
YPuPd4: simulated powder diffraction line list (λ = 1.5418 Å (Cu Kα)), based on the PBE geometry in Alexandria.
No peak broadening, texture or thermal motion is included.

Cell and atoms:
Unit cell a=5.2131 b=5.9621 c=7.3674 alpha=90.00 beta=94.24 gamma=90.00
Fractional coordinates of all 12 atoms:
Y (0.1304, 0.2500, 0.3484)
Y (0.8696, 0.7500, 0.6516)
Pu (0.4835, 0.7500, 0.0247)
Pu (0.5165, 0.2500, 0.9753)
Pd (0.0000, 0.0000, 0.0000)
Pd (0.0000, 0.5000, 0.0000)
Pd (0.1466, 0.7500, 0.3259)
Pd (0.3586, 0.5064, 0.6573)
Pd (0.3586, 0.9936, 0.6573)
Pd (0.6414, 0.0064, 0.3427)
Pd (0.6414, 0.4936, 0.3427)
Pd (0.8534, 0.2500, 0.6741)

The 8 most intense peaks (2θ = 10–90°), by angle:
2theta, intensity
12.05, 16
35.78, 50
36.69, 48
37.28, 100
41.98, 66
44.14, 30
61.94, 20
63.15, 19

***

Record 2
YPuPd: simulated powder diffraction line list (λ = 1.5418 Å (Cu Kα)), based on the PBE geometry in Alexandria.
No peak broadening, texture or thermal motion is included.

Cell and atoms:
Unit cell a=10.9644 b=10.1991 c=5.8928 alpha=81.13 beta=66.79 gamma=32.07
Fractional coordinates of all 12 atoms:
Y (0.0461, 0.7039, 0.0461)
Y (0.2961, 0.9539, 0.2961)
Y (0.7039, 0.0461, 0.7039)
Y (0.9539, 0.2961, 0.9539)
Pu (0.2924, 0.2924, 0.4576)
Pu (0.4576, 0.4576, 0.2924)
Pu (0.5424, 0.5424, 0.7076)
Pu (0.7076, 0.7076, 0.5424)
Pd (0.0014, 0.0014, 0.2486)
Pd (0.2486, 0.2486, 0.0014)
Pd (0.7514, 0.7514, 0.9986)
Pd (0.9986, 0.9986, 0.7514)

The 8 most intense peaks (2θ = 10–90°), by angle:
2theta, intensity
28.62, 34
30.74, 100
32.82, 77
34.41, 70
35.58, 35
36.62, 71
39.21, 84
40.26, 35

***

- What is the formula in the first record?
  YPuPd4